This entry pairs a crystal structure of AcHo4Co3O12 with its simulated XRD peak list. Radiation: a wavelength of 1.5418 Å. Structure: a crystal structure in Alexandria, relaxed with GGA+U.

Cell and atoms:
a = 7.0184 Å, b = 7.0184 Å, c = 7.0184 Å
α = 109.47°, β = 109.47°, γ = 109.47°
Positions (direct):
Ac: 0.0000 0.0000 0.0000
Ho: 0.0000 0.0000 0.5000
Ho: 0.0000 0.5000 0.0000
Ho: 0.5000 0.0000 0.0000
Ho: 0.5000 0.5000 0.5000
Co: 0.0000 0.5000 0.5000
Co: 0.5000 0.0000 0.5000
Co: 0.5000 0.5000 0.0000
O: 0.1528 0.4737 0.3209
O: 0.1528 0.8319 0.6791
O: 0.1681 0.3209 0.8472
O: 0.3209 0.1528 0.4737
O: 0.3209 0.8472 0.1681
O: 0.4737 0.3209 0.1528
O: 0.5263 0.6791 0.8472
O: 0.6791 0.1528 0.8319
O: 0.6791 0.8472 0.5263
O: 0.8319 0.6791 0.1528
O: 0.8472 0.1681 0.3209
O: 0.8472 0.5263 0.6791

Top 8 peaks for 10° ≤ 2θ ≤ 90°, by angle:
- 15.5°, I = 11
- 31.2°, I = 100
- 35.0°, I = 7
- 41.7°, I = 7
- 44.7°, I = 21
- 55.6°, I = 47
- 65.1°, I = 12
- 74.0°, I = 18